Starting from a PBE+U-relaxed structure, the X-ray powder pattern of CsFeF4 was computed for CuKα.
Peak positions follow from Bragg's law for the DFT cell and can differ from measured ones.

Top 8 peaks for 2θ = 10–90°, in order of rising 2θ:
| 2θ/deg | d [Å] | Rel. int. |
| --- | --- | --- |
| 26.2 | 3.399 | 100.0 |
| 26.5 | 3.360 | 28.7 |
| 32.1 | 2.786 | 35.4 |
| 34.9 | 2.573 | 18.8 |
| 35.1 | 2.556 | 17.5 |
| 46.1 | 1.970 | 21.2 |
| 46.6 | 1.947 | 27.7 |
| 53.8 | 1.704 | 29.5 |

Cell and atoms:
```
data_CsFeF4
_cell_length_a 14.534
_cell_length_b 5.572
_cell_length_c 5.571
_cell_angle_alpha 90.00
_cell_angle_beta 112.39
_cell_angle_gamma 90.00
_space_group_name_H-M_alt 'C 1 2/c 1'
_space_group_IT_number 15
_space_group_name_Hall '-C 2yc'
loop_
_atom_site_label
_atom_site_fract_x
_atom_site_fract_y
_atom_site_fract_z
Cs1 0.000 0.248 0.250
Fe1 0.250 0.250 0.000
F1 0.108 0.256 0.858
F2 0.247 0.044 0.292
```